Computed powder diffraction line list of DyFe5Bi4O15 for Cu Kα X-rays, from a structure optimized by DFT (GGA+U).
Kinematic intensities with the Lorentz-polarization factor, no thermal factor.

Crystal structure
abc: 5.6047 5.6951 20.2992
angles: 83.26 82.07 90.00
Element x y z (fractional)
Dy: 0.0000 0.0000 0.0000
Dy: 0.3979 0.4063 0.1981
Fe: 0.0428 0.4899 0.9128
Fe: 0.1453 0.5941 0.7101
Fe: 0.2471 0.6941 0.5081
Fe: 0.3479 0.7908 0.3074
Fe: 0.4458 0.8954 0.1103
Fe: 0.5470 0.9957 0.9123
Fe: 0.6452 0.0935 0.7101
Fe: 0.7473 0.1951 0.5082
Fe: 0.8476 0.2909 0.3071
Fe: 0.9433 0.3971 0.1096
Bi: 0.0987 0.1056 0.8001
Bi: 0.2037 0.2091 0.5984
Bi: 0.3026 0.3021 0.3973
Bi: 0.4978 0.5009 0.0006
Bi: 0.6000 0.6043 0.7997
Bi: 0.6999 0.7093 0.5984
Bi: 0.8050 0.8039 0.3974
Bi: 0.9051 0.9014 0.1970
O: 0.0545 0.3773 0.5008
O: 0.0596 0.5372 0.3311
O: 0.1107 0.0372 0.3327
O: 0.1163 0.6002 0.6120
O: 0.1355 0.0692 0.0981
O: 0.1702 0.5010 0.8149
O: 0.2410 0.7487 0.9419
O: 0.2481 0.5831 0.1028
O: 0.3131 0.8049 0.2120
O: 0.3143 0.2443 0.9367
O: 0.3519 0.2847 0.7025
O: 0.3750 0.6938 0.4104
O: 0.4478 0.7838 0.7024
O: 0.4587 0.9426 0.5318
O: 0.5113 0.4425 0.5322
O: 0.5149 0.9952 0.8152
O: 0.5424 0.4653 0.2958
O: 0.5968 0.9058 0.0154
O: 0.6393 0.1546 0.1404
O: 0.6529 0.9755 0.3010
O: 0.7105 0.6463 0.1348
O: 0.7180 0.1994 0.4108
O: 0.7375 0.6725 0.9043
O: 0.7731 0.1001 0.6121
O: 0.8597 0.1721 0.9031
O: 0.8614 0.3373 0.7339
O: 0.9056 0.8378 0.7341
O: 0.9096 0.3981 0.0145
O: 0.9483 0.8781 0.5007
O: 0.9993 0.2959 0.2118

The 10 most intense peaks (2θ = 10–90°), sorted by position:
22.26°, intensity 75; 31.42°, intensity 100; 31.95°, intensity 96; 39.28°, intensity 28; 45.42°, intensity 46; 50.79°, intensity 32; 51.50°, intensity 18; 55.61°, intensity 18; 56.60°, intensity 41; 56.93°, intensity 24

Computed powder diffraction line list of EuHfFeBiO6 for Cu Kα X-rays, from a structure optimized by DFT (GGA+U).
Kinematic intensities with the Lorentz-polarization factor, no thermal factor.

Crystal structure
abc: 5.7127 5.7127 5.7127
angles: 60.00 60.00 60.00
Element x y z (fractional)
Eu: 0.0000 0.0000 0.0000
Hf: 0.7500 0.7500 0.7500
Fe: 0.2500 0.2500 0.2500
Bi: 0.5000 0.5000 0.5000
O: 0.0036 0.0036 0.4964
O: 0.0036 0.4964 0.0036
O: 0.0036 0.4964 0.4964
O: 0.4964 0.0036 0.0036
O: 0.4964 0.0036 0.4964
O: 0.4964 0.4964 0.0036

The 10 most intense peaks (2θ = 10–90°), sorted by position:
19.03°, intensity 11; 31.32°, intensity 100; 36.90°, intensity 7; 38.60°, intensity 6; 44.88°, intensity 28; 49.16°, intensity 3; 55.74°, intensity 40; 65.34°, intensity 17; 74.24°, intensity 18; 82.77°, intensity 6

Computed powder diffraction line list of KEuBiWO6 for Cu Kα X-rays, from a structure optimized by DFT (GGA+U).
Kinematic intensities with the Lorentz-polarization factor, no thermal factor.

Crystal structure
abc: 6.0410 6.0410 6.0410
angles: 60.00 60.00 60.00
Element x y z (fractional)
K: 0.0000 0.0000 0.0000
Eu: 0.5000 0.5000 0.5000
Bi: 0.2500 0.2500 0.2500
W: 0.7500 0.7500 0.7500
O: 0.5216 0.5216 0.9784
O: 0.5216 0.9784 0.5216
O: 0.5216 0.9784 0.9784
O: 0.9784 0.5216 0.5216
O: 0.9784 0.5216 0.9784
O: 0.9784 0.9784 0.5216

The 10 most intense peaks (2θ = 10–90°), sorted by position:
17.98°, intensity 9; 20.79°, intensity 21; 29.57°, intensity 100; 42.32°, intensity 28; 47.60°, intensity 9; 52.47°, intensity 41; 61.39°, intensity 18; 69.60°, intensity 19; 77.39°, intensity 6; 84.95°, intensity 22

Computed powder diffraction line list of KEuBiWO6 for Cu Kα X-rays, from a structure optimized by DFT (GGA+U).
Kinematic intensities with the Lorentz-polarization factor, no thermal factor.

Crystal structure
abc: 8.4602 8.4708 8.5051
angles: 90.00 90.00 90.00
Element x y z (fractional)
K: 0.2500 0.2500 0.2500
K: 0.2500 0.7500 0.2500
K: 0.7500 0.2500 0.7500
K: 0.7500 0.7500 0.7500
Eu: 0.2500 0.2500 0.7500
Eu: 0.2500 0.7500 0.7500
Eu: 0.7500 0.2500 0.2500
Eu: 0.7500 0.7500 0.2500
Bi: 0.0000 0.0000 0.0000
Bi: 0.0000 0.5000 0.5000
Bi: 0.5000 0.0000 0.5000
Bi: 0.5000 0.5000 0.0000
W: 0.0000 0.0000 0.5000
W: 0.0000 0.5000 0.0000
W: 0.5000 0.0000 0.0000
W: 0.5000 0.5000 0.5000
O: 0.0237 0.2274 0.4715
O: 0.0237 0.2726 0.0285
O: 0.0410 0.0266 0.7283
O: 0.0410 0.4734 0.7717
O: 0.2269 0.5302 0.0184
O: 0.2269 0.9698 0.4816
O: 0.2731 0.5302 0.4816
O: 0.2731 0.9698 0.0184
O: 0.4590 0.0266 0.7717
O: 0.4590 0.4734 0.7283
O: 0.4763 0.2274 0.0285
O: 0.4763 0.2726 0.4715
O: 0.5237 0.7274 0.5285
O: 0.5237 0.7726 0.9715
O: 0.5410 0.5266 0.2717
O: 0.5410 0.9734 0.2283
O: 0.7269 0.0302 0.9816
O: 0.7269 0.4698 0.5184
O: 0.7731 0.0302 0.5184
O: 0.7731 0.4698 0.9816
O: 0.9590 0.5266 0.2283
O: 0.9590 0.9734 0.2717
O: 0.9763 0.7274 0.9715
O: 0.9763 0.7726 0.5285

The 10 most intense peaks (2θ = 10–90°), sorted by position:
20.93°, intensity 13; 29.80°, intensity 100; 42.52°, intensity 9; 42.72°, intensity 18; 52.81°, intensity 14; 52.95°, intensity 29; 61.85°, intensity 11; 70.29°, intensity 9; 85.60°, intensity 8; 85.88°, intensity 8

Computed powder diffraction line list of EuMnNbBiO6 for Cu Kα X-rays, from a structure optimized by DFT (GGA+U).
Kinematic intensities with the Lorentz-polarization factor, no thermal factor.

Crystal structure
abc: 5.7601 5.7601 5.7601
angles: 60.00 60.00 60.00
Element x y z (fractional)
Eu: 0.0000 0.0000 0.0000
Mn: 0.2500 0.2500 0.2500
Nb: 0.7500 0.7500 0.7500
Bi: 0.5000 0.5000 0.5000
O: 0.5051 0.5051 0.9949
O: 0.5051 0.9949 0.5051
O: 0.5051 0.9949 0.9949
O: 0.9949 0.5051 0.5051
O: 0.9949 0.5051 0.9949
O: 0.9949 0.9949 0.5051

The 10 most intense peaks (2θ = 10–90°), sorted by position:
21.82°, intensity 14; 31.05°, intensity 100; 38.27°, intensity 16; 44.49°, intensity 30; 50.08°, intensity 8; 55.24°, intensity 40; 64.74°, intensity 18; 73.53°, intensity 18; 77.77°, intensity 5; 81.94°, intensity 6

Computed powder diffraction line list of NaEuBiWO6 for Cu Kα X-rays, from a structure optimized by DFT (GGA+U).
Kinematic intensities with the Lorentz-polarization factor, no thermal factor.

Crystal structure
abc: 6.0150 6.0150 6.0150
angles: 60.00 60.00 60.00
Element x y z (fractional)
Na: 0.0000 0.0000 0.0000
Eu: 0.5000 0.5000 0.5000
Bi: 0.2500 0.2500 0.2500
W: 0.7500 0.7500 0.7500
O: 0.5210 0.5210 0.9790
O: 0.5210 0.9790 0.5210
O: 0.5210 0.9790 0.9790
O: 0.9790 0.5210 0.5210
O: 0.9790 0.5210 0.9790
O: 0.9790 0.9790 0.5210

The 10 most intense peaks (2θ = 10–90°), sorted by position:
18.06°, intensity 13; 20.89°, intensity 25; 29.71°, intensity 100; 34.98°, intensity 8; 42.51°, intensity 29; 47.82°, intensity 11; 52.72°, intensity 41; 61.68°, intensity 18; 69.94°, intensity 19; 85.41°, intensity 23

Computed powder diffraction line list of Eu2NiBiO6 for Cu Kα X-rays, from a structure optimized by DFT (GGA+U).
Kinematic intensities with the Lorentz-polarization factor, no thermal factor.

Crystal structure
abc: 5.7638 5.7638 5.7638
angles: 60.00 60.00 60.00
Element x y z (fractional)
Eu: 0.2500 0.2500 0.2500
Eu: 0.7500 0.7500 0.7500
Ni: 0.0000 0.0000 0.0000
Bi: 0.5000 0.5000 0.5000
O: 0.2449 0.2449 0.7551
O: 0.2449 0.7551 0.2449
O: 0.2449 0.7551 0.7551
O: 0.7551 0.2449 0.2449
O: 0.7551 0.2449 0.7551
O: 0.7551 0.7551 0.2449

The 10 most intense peaks (2θ = 10–90°), sorted by position:
18.86°, intensity 14; 31.03°, intensity 100; 36.56°, intensity 9; 44.46°, intensity 28; 48.69°, intensity 4; 55.20°, intensity 40; 64.69°, intensity 18; 68.05°, intensity 3; 73.48°, intensity 18; 81.88°, intensity 6

Computed powder diffraction line list of SrEuNiBiO6 for Cu Kα X-rays, from a structure optimized by DFT (GGA+U).
Kinematic intensities with the Lorentz-polarization factor, no thermal factor.

Crystal structure
abc: 5.7563 5.7563 5.7563
angles: 60.00 60.00 60.00
Element x y z (fractional)
Sr: 0.0000 0.0000 0.0000
Eu: 0.5000 0.5000 0.5000
Ni: 0.7500 0.7500 0.7500
Bi: 0.2500 0.2500 0.2500
O: 0.5062 0.5062 0.9938
O: 0.5062 0.9938 0.5062
O: 0.5062 0.9938 0.9938
O: 0.9938 0.5062 0.5062
O: 0.9938 0.5062 0.9938
O: 0.9938 0.9938 0.5062

The 10 most intense peaks (2θ = 10–90°), sorted by position:
18.88°, intensity 21; 31.07°, intensity 100; 36.61°, intensity 14; 44.52°, intensity 30; 48.76°, intensity 7; 55.28°, intensity 40; 64.78°, intensity 18; 68.15°, intensity 5; 73.59°, intensity 18; 82.01°, intensity 6